Structure and theoretical X-ray diffraction stick pattern of Nd3DyHo6 (a crystal structure in Alexandria, relaxed with GGA-PBE; Cu Kα).
Lines closer than 0.1° are merged.

Structure:
abc: 11.539 6.571 9.678
angles: 90.00 114.61 90.00
Space group C2/m (No. 12)
Unique sites:
Nd 0.000 0.000 0.000 (multiplicity 2)
Nd 0.070 0.000 0.699 (multiplicity 4)
Dy 0.000 0.500 0.500 (multiplicity 2)
Ho 0.137 0.500 0.921 (multiplicity 4)
Ho 0.186 0.253 0.312 (multiplicity 8)

Principal peaks in the range 2θ = 10–80°, by angle:
2θ/deg  I (rel.)  h k l
28.52  44  1 1 2
31.17  43  1 1 -3
31.27  38  4 0 -1
31.49  100  2 2 -1
32.15  47  2 2 0
33.53  28  3 1 -3
34.10  51  0 2 2
55.36  31  6 2 -2



Structure and theoretical X-ray diffraction stick pattern of K4Ac3ZnS8 (a crystal structure in Alexandria, relaxed with GGA-PBE; Cu Kα).
Lines closer than 0.1° are merged.

Structure:
abc: 15.251 8.460 8.914
angles: 90.00 122.56 90.00
Space group C2/m (No. 12)
Unique sites:
K 0.000 0.000 0.000 (multiplicity 2)
K 0.000 0.500 0.000 (multiplicity 2)
K 0.250 0.250 0.000 (multiplicity 4)
Ac 0.000 0.000 0.500 (multiplicity 2)
Ac 0.250 0.250 0.500 (multiplicity 4)
Zn 0.000 0.500 0.500 (multiplicity 2)
S 0.014 0.287 0.313 (multiplicity 8)
S 0.233 0.000 0.257 (multiplicity 4)
S 0.233 0.000 0.717 (multiplicity 4)

Principal peaks in the range 2θ = 10–80°, by angle:
2θ/deg  I (rel.)  h k l
11.78  100  0 0 1
23.69  23  0 0 2
24.46  26  2 2 -1
25.20  37  2 2 0
27.76  47  4 0 0
29.13  80  2 2 -2
39.86  31  2 2 2
41.47  30  6 2 -2